Record 1
Diffraction record for TbNd2Te4. The powder XRD pattern is theoretical, not measured: it uses a DFT-relaxed cell (PBE, Alexandria) and Cu Kα.
Lines closer than 0.1° are merged.

abc: 16.5546 4.4417 7.8156
angles: 90.00 117.59 90.00
Space group C2/m (No. 12)
Inequivalent atoms, fractional coordinates:
Tb 0.0000 0.0000 0.0000 x2
Nd 0.2404 0.5000 0.7287 x4
Te 0.1177 0.0000 0.4414 x4
Te 0.1262 0.5000 0.9702 x4

Peak list (6 most intense, 10° ≤ 2θ ≤ 80°, in order of falling intensity)
| hkl | Position (°2θ) | d/Å | I (rel.) |
| --- | --- | --- | --- |
| 4 0 -2 | 26.00 | 3.428 | 100 |
| 6 0 -2 | 33.64 | 2.664 | 67 |
| 3 1 -3 | 40.13 | 2.247 | 56 |
| 5 1 -1 | 33.79 | 2.653 | 55 |
| 0 2 0 | 40.62 | 2.221 | 28 |
| 2 0 2 | 33.34 | 2.688 | 26 |

---

Record 2
Diffraction record for BeBPdAu. The powder XRD pattern is theoretical, not measured: it uses a DFT-relaxed cell (PBE, Alexandria) and Cu Kα.
Lines closer than 0.1° are merged.

abc: 3.2106 3.2106 5.6509
angles: 90.00 90.00 120.00
Space group P3m1 (No. 156)
Inequivalent atoms, fractional coordinates:
Be 0.0000 0.0000 0.0000 x1
B 0.3333 0.6667 0.8754 x1
Pd 0.6667 0.3333 0.6853 x1
Au 0.3333 0.6667 0.2800 x1

Peak list (6 most intense, 10° ≤ 2θ ≤ 80°, in order of falling intensity)
| hkl | Position (°2θ) | d/Å | I (rel.) |
| --- | --- | --- | --- |
| 0 1 1 | 36.00 | 2.495 | 100 |
| 1 0 2 | 45.78 | 1.982 | 36 |
| 1 0 0 | 32.19 | 2.780 | 30 |
| 0 0 2 | 31.67 | 2.825 | 22 |
| 0 0 1 | 15.68 | 5.651 | 21 |
| 1 1 0 | 57.40 | 1.605 | 20 |